Calculated powder X-ray diffraction pattern of NiHg3F7 for Cu Kα X-rays, from a DFT-relaxed cell (PBE+U, Alexandria).
Lines closer than 0.1° are merged.

Main lines, in order of rising 2θ (2θ = 10–80°):
6.465 Å, 13.7 deg, I 14
3.232 Å, 27.6 deg, I 100
3.148 Å, 28.4 deg, I 91
2.779 Å, 32.2 deg, I 47
2.728 Å, 32.8 deg, I 18
2.006 Å, 45.2 deg, I 15
1.947 Å, 46.7 deg, I 52
1.927 Å, 47.2 deg, I 17
1.692 Å, 54.2 deg, I 28
1.655 Å, 55.5 deg, I 39

Structural model:
Lattice parameters (Å, degrees): 6.7724 6.7724 7.7071 90.00 90.00 107.34
Element x y z (fractional)
Ni 0.0000 0.0000 0.0000
Ni 0.0000 0.0000 0.5000
Hg 0.0055 0.4599 0.2492
Hg 0.4599 0.0055 0.7508
Hg 0.4961 0.4961 0.5000
Hg 0.5039 0.5039 0.0000
Hg 0.5401 0.9945 0.2508
Hg 0.9945 0.5401 0.7492
F 0.0558 0.9442 0.7500
F 0.0587 0.3129 0.9722
F 0.0607 0.3136 0.5267
F 0.3129 0.0587 0.0278
F 0.3136 0.0607 0.4733
F 0.3577 0.6423 0.7500
F 0.3621 0.6379 0.2500
F 0.6379 0.3621 0.7500
F 0.6423 0.3577 0.2500
F 0.6864 0.9393 0.9733
F 0.6871 0.9413 0.5278
F 0.9393 0.6864 0.0267
F 0.9413 0.6871 0.4722
F 0.9442 0.0558 0.2500

---

Calculated powder X-ray diffraction pattern of Ni2Hg2OF6 for Cu Kα X-rays, from a DFT-relaxed cell (PBE+U, Alexandria).
Lines closer than 0.1° are merged.

Main lines, in order of rising 2θ (2θ = 10–80°):
6.066 Å, 14.6 deg, I 24
3.168 Å, 28.2 deg, I 16
3.033 Å, 29.4 deg, I 100
2.627 Å, 34.1 deg, I 33
2.410 Å, 37.3 deg, I 19
2.022 Å, 44.8 deg, I 10
1.857 Å, 49.0 deg, I 47
1.584 Å, 58.2 deg, I 44
1.517 Å, 61.1 deg, I 11
1.205 Å, 79.5 deg, I 18

Structural model:
Lattice parameters (Å, degrees): 7.4294 7.4294 7.4294 60.00 60.00 60.00
Element x y z (fractional)
Ni 0.0000 0.0000 0.0000
Ni 0.0000 0.0000 0.5000
Ni 0.0000 0.5000 0.0000
Ni 0.5000 0.0000 0.0000
Hg 0.0000 0.5000 0.5000
Hg 0.5000 0.0000 0.5000
Hg 0.5000 0.5000 0.0000
Hg 0.5000 0.5000 0.5000
O 0.3750 0.3750 0.3750
O 0.6250 0.6250 0.6250
F 0.0732 0.0732 0.6768
F 0.0732 0.6768 0.0732
F 0.0732 0.6768 0.6768
F 0.3232 0.3232 0.9268
F 0.3232 0.9268 0.3232
F 0.3232 0.9268 0.9268
F 0.6768 0.0732 0.0732
F 0.6768 0.0732 0.6768
F 0.6768 0.6768 0.0732
F 0.9268 0.3232 0.3232
F 0.9268 0.3232 0.9268
F 0.9268 0.9268 0.3232

---

Calculated powder X-ray diffraction pattern of RbNiHgF6 for Cu Kα X-rays, from a DFT-relaxed cell (PBE+U, Alexandria).
Lines closer than 0.1° are merged.

Main lines, in order of rising 2θ (2θ = 10–80°):
5.744 Å, 15.4 deg, I 100
5.085 Å, 17.4 deg, I 33
3.858 Å, 23.1 deg, I 93
3.758 Å, 23.7 deg, I 85
3.697 Å, 24.1 deg, I 100
2.990 Å, 29.9 deg, I 38
2.835 Å, 31.6 deg, I 64
2.528 Å, 35.5 deg, I 39
2.104 Å, 43.0 deg, I 31
2.003 Å, 45.3 deg, I 50

Structural model:
Lattice parameters (Å, degrees): 5.6802 5.6816 5.7471 90.93 90.95 116.45
Element x y z (fractional)
Rb 0.0000 0.0000 0.0000
Ni 0.6684 0.3314 0.4991
Hg 0.3227 0.6771 0.5001
F 0.4038 0.3453 0.3178
F 0.4054 0.0486 0.7022
F 0.6559 0.5963 0.6809
F 0.6588 0.0584 0.3161
F 0.9411 0.3392 0.6818
F 0.9516 0.5938 0.2963

---

Calculated powder X-ray diffraction pattern of Rb2Ni3HgF12 for Cu Kα X-rays, from a DFT-relaxed cell (PBE+U, Alexandria).
Lines closer than 0.1° are merged.

Main lines, in order of rising 2θ (2θ = 10–80°):
6.032 Å, 14.7 deg, I 55
5.190 Å, 17.1 deg, I 23
3.706 Å, 24.0 deg, I 34
3.135 Å, 28.5 deg, I 100
3.092 Å, 28.9 deg, I 56
3.016 Å, 29.6 deg, I 52
2.011 Å, 45.1 deg, I 33
1.999 Å, 45.4 deg, I 22
1.853 Å, 49.2 deg, I 43
1.818 Å, 50.2 deg, I 25

Structural model:
Lattice parameters (Å, degrees): 7.2732 7.2732 7.2732 61.26 61.26 61.26
Element x y z (fractional)
Rb 0.1144 0.1144 0.1144
Rb 0.8856 0.8856 0.8856
Ni 0.0000 0.5000 0.5000
Ni 0.5000 0.0000 0.5000
Ni 0.5000 0.5000 0.0000
Hg 0.5000 0.5000 0.5000
F 0.1109 0.6080 0.6080
F 0.2037 0.2037 0.5938
F 0.2037 0.5938 0.2037
F 0.3920 0.3920 0.8891
F 0.3920 0.8891 0.3920
F 0.4062 0.7963 0.7963
F 0.5938 0.2037 0.2037
F 0.6080 0.1109 0.6080
F 0.6080 0.6080 0.1109
F 0.7963 0.4062 0.7963
F 0.7963 0.7963 0.4062
F 0.8891 0.3920 0.3920

---

Calculated powder X-ray diffraction pattern of Ni2Hg2SF6 for Cu Kα X-rays, from a DFT-relaxed cell (PBE+U, Alexandria).
Lines closer than 0.1° are merged.

Main lines, in order of rising 2θ (2θ = 10–80°):
6.275 Å, 14.1 deg, I 28
3.277 Å, 27.2 deg, I 13
3.137 Å, 28.4 deg, I 100
2.717 Å, 33.0 deg, I 31
2.493 Å, 36.0 deg, I 22
1.921 Å, 47.3 deg, I 49
1.638 Å, 56.1 deg, I 45
1.569 Å, 58.9 deg, I 11
1.247 Å, 76.4 deg, I 18
1.215 Å, 78.8 deg, I 15

Structural model:
Lattice parameters (Å, degrees): 7.6849 7.6849 7.6849 60.00 60.00 60.00
Element x y z (fractional)
Ni 0.0000 0.0000 0.0000
Ni 0.0000 0.0000 0.5000
Ni 0.0000 0.5000 0.0000
Ni 0.5000 0.0000 0.0000
Hg 0.0000 0.5000 0.5000
Hg 0.5000 0.0000 0.5000
Hg 0.5000 0.5000 0.0000
Hg 0.5000 0.5000 0.5000
S 0.3750 0.3750 0.3750
S 0.6250 0.6250 0.6250
F 0.0685 0.0685 0.6815
F 0.0685 0.6815 0.0685
F 0.0685 0.6815 0.6815
F 0.3185 0.3185 0.9315
F 0.3185 0.9315 0.3185
F 0.3185 0.9315 0.9315
F 0.6815 0.0685 0.0685
F 0.6815 0.0685 0.6815
F 0.6815 0.6815 0.0685
F 0.9315 0.3185 0.3185
F 0.9315 0.3185 0.9315
F 0.9315 0.9315 0.3185

---

Calculated powder X-ray diffraction pattern of SrNi2HgF8 for Cu Kα X-rays, from a DFT-relaxed cell (PBE+U, Alexandria).
Lines closer than 0.1° are merged.

Main lines, in order of rising 2θ (2θ = 10–80°):
7.708 Å, 11.5 deg, I 73
5.291 Å, 16.8 deg, I 25
3.606 Å, 24.7 deg, I 100
3.287 Å, 27.1 deg, I 68
3.076 Å, 29.0 deg, I 60
2.968 Å, 30.1 deg, I 54
2.868 Å, 31.2 deg, I 28
2.158 Å, 41.9 deg, I 27
2.121 Å, 42.6 deg, I 29
1.964 Å, 46.2 deg, I 32

Structural model:
Lattice parameters (Å, degrees): 4.3003 5.3940 7.7551 83.68 88.37 80.59
Element x y z (fractional)
Sr 0.0000 0.0000 0.0000
Ni 0.4791 0.4636 0.7081
Ni 0.5209 0.5364 0.2919
Hg 0.0000 0.0000 0.5000
F 0.0917 0.7380 0.2895
F 0.1220 0.7271 0.7584
F 0.4174 0.2831 0.4935
F 0.4339 0.2534 0.9277
F 0.5661 0.7466 0.0723
F 0.5826 0.7169 0.5065
F 0.8780 0.2729 0.2416
F 0.9083 0.2620 0.7105